This entry pairs a crystal structure of Zr3W5 with its computed XRD peak list. Radiation: Cu Kα, 1.54184 Å. Structure: a DFT-relaxed cell (GGA-PBE, the Materials Project).
No peak broadening, texture or thermal motion is included.

Largest 8 diffraction maxima, in order of rising 2θ, 2θ = 5–70°:
2θ (°), d_spacing, I/Imax
11.74, 7.538, 36.2
33.63, 2.665, 64.1
33.74, 2.657, 28.8
37.74, 2.384, 52.3
37.84, 2.378, 51.7
38.73, 2.325, 100.0
41.59, 2.171, 82.1
45.86, 1.979, 59.4

Cell and atoms:
Lattice parameters (Å, degrees): 10.661 10.661 5.313 90.00 90.00 90.00
Space group I4/mcm (No. 140)
One atom of each set of equivalent atoms:
Zr: 0.000 0.000 0.250 x4
Zr: 0.188 0.312 0.000 x8
W: 0.000 0.500 0.250 x4
W: 0.058 0.258 0.500 x16

=====

This entry pairs a crystal structure of Sr5Ca3Si4 with its computed XRD peak list. Radiation: Cu Kα, 1.54184 Å. Structure: a DFT-relaxed cell (GGA-PBE, the Materials Project).
No peak broadening, texture or thermal motion is included.

Largest 8 diffraction maxima, in order of rising 2θ, 2θ = 5–70°:
2θ (°), d_spacing, I/Imax
20.22, 4.391, 23.9
28.46, 3.137, 100.0
28.61, 3.120, 79.5
29.98, 2.980, 79.7
30.10, 2.969, 56.5
30.98, 2.886, 30.1
34.21, 2.621, 44.5
35.99, 2.496, 62.2

Cell and atoms:
Lattice parameters (Å, degrees): 8.088 4.991 9.241 90.00 90.46 90.00
Space group Pm (No. 6)
One atom of each set of equivalent atoms:
Sr: 0.000 0.000 0.000 x1
Sr: 0.038 0.500 0.638 x1
Sr: 0.370 0.000 0.741 x1
Sr: 0.498 0.000 0.140 x1
Sr: 0.546 0.500 0.491 x1
Ca: 0.168 0.500 0.244 x1
Ca: 0.672 0.500 0.893 x1
Ca: 0.875 0.000 0.390 x1
Si: 0.252 0.000 0.414 x1
Si: 0.286 0.500 0.931 x1
Si: 0.764 0.000 0.712 x1
Si: 0.788 0.500 0.213 x1

=====

This entry pairs a crystal structure of NaSrTl2 with its computed XRD peak list. Radiation: Cu Kα, 1.54184 Å. Structure: a DFT-relaxed cell (GGA-PBE, the Materials Project).
No peak broadening, texture or thermal motion is included.

Largest 8 diffraction maxima, in order of rising 2θ, 2θ = 5–70°:
2θ (°), d_spacing, I/Imax
19.30, 4.600, 3.6
22.32, 3.984, 36.9
31.77, 2.817, 100.0
39.17, 2.300, 11.9
45.54, 1.992, 18.6
51.28, 1.781, 17.0
56.59, 1.626, 39.3
66.37, 1.408, 12.2

Cell and atoms:
Lattice parameters (Å, degrees): 7.967 7.967 7.967 90.00 90.00 90.00
Space group Fm-3m (No. 225)
One atom of each set of equivalent atoms:
Na: 0.000 0.000 0.000 x4
Sr: 0.000 0.000 0.500 x4
Tl: 0.250 0.250 0.250 x8